Record 1
Starting from a cell relaxed with GGA-PBE, the powder XRD pattern of BaZnBiF7 was computed for Cu Kα, 1.54184 Å.
Lines closer than 0.1° are merged.

Principal peaks in the range 2θ = 5–70°, most intense first:
2θ = 23.66°, I 1000
2θ = 24.55°, I 383
2θ = 28.49°, I 378
2θ = 31.06°, I 364
2θ = 26.03°, I 290
2θ = 45.04°, I 270
2θ = 24.72°, I 266
2θ = 40.27°, I 251

Cell and atoms:
```
data_BaZnBiF7
_chemical_formula_sum 'Ba4 Zn4 Bi4 F28'
_cell_length_a 5.775
_cell_length_b 11.040
_cell_length_c 9.829
_cell_angle_alpha 90.00
_cell_angle_beta 94.31
_cell_angle_gamma 90.00
_space_group_name_H-M_alt 'P 1'
_space_group_IT_number 1
_space_group_name_Hall 'P 1'
loop_
_atom_site_label
_atom_site_type_symbol
_atom_site_fract_x
_atom_site_fract_y
_atom_site_fract_z
_atom_site_occupancy
Ba1 Ba 0.247 0.153 0.467 1
Ba2 Ba 0.247 0.347 0.967 1
Ba3 Ba 0.753 0.653 0.033 1
Ba4 Ba 0.753 0.847 0.533 1
Zn1 Zn 0.291 0.651 0.711 1
Zn2 Zn 0.291 0.849 0.211 1
Zn3 Zn 0.709 0.151 0.789 1
Zn4 Zn 0.709 0.349 0.289 1
Bi1 Bi 0.221 0.575 0.365 1
Bi2 Bi 0.221 0.925 0.865 1
Bi3 Bi 0.779 0.075 0.135 1
Bi4 Bi 0.779 0.425 0.635 1
F1 F 0.017 0.740 0.273 1
F2 F 0.017 0.760 0.773 1
F3 F 0.110 0.513 0.153 1
F4 F 0.110 0.987 0.653 1
F5 F 0.147 0.005 0.114 1
F6 F 0.147 0.495 0.614 1
F7 F 0.173 0.726 0.528 1
F8 F 0.173 0.774 0.028 1
F9 F 0.400 0.559 0.872 1
F10 F 0.400 0.941 0.372 1
F11 F 0.419 0.114 0.907 1
F12 F 0.419 0.386 0.407 1
F13 F 0.492 0.698 0.274 1
F14 F 0.492 0.802 0.774 1
F15 F 0.508 0.198 0.226 1
F16 F 0.508 0.302 0.726 1
F17 F 0.581 0.614 0.593 1
F18 F 0.581 0.886 0.093 1
F19 F 0.600 0.059 0.628 1
F20 F 0.600 0.441 0.128 1
F21 F 0.827 0.226 0.972 1
F22 F 0.827 0.274 0.472 1
F23 F 0.853 0.505 0.386 1
F24 F 0.853 0.995 0.886 1
F25 F 0.890 0.013 0.347 1
F26 F 0.890 0.487 0.847 1
F27 F 0.983 0.240 0.227 1
F28 F 0.983 0.260 0.727 1
```



Record 2
Starting from a cell relaxed with GGA-PBE, the powder XRD pattern of K2Rb2As was computed for Cu Kα, 1.54184 Å.
Lines closer than 0.1° are merged.

Principal peaks in the range 2θ = 5–70°, most intense first:
2θ = 24.90°, I 1000
2θ = 36.92°, I 884
2θ = 28.18°, I 592
2θ = 13.86°, I 588
2θ = 31.37°, I 562
2θ = 25.92°, I 482
2θ = 47.04°, I 251
2θ = 17.36°, I 247

Cell and atoms:
```
data_K2Rb2As
_chemical_formula_sum 'K4 Rb4 As2'
_cell_length_a 8.185
_cell_length_b 10.215
_cell_length_c 6.334
_cell_angle_alpha 90.00
_cell_angle_beta 90.00
_cell_angle_gamma 90.00
_space_group_name_H-M_alt 'P 1'
_space_group_IT_number 1
_space_group_name_Hall 'P 1'
loop_
_atom_site_label
_atom_site_type_symbol
_atom_site_fract_x
_atom_site_fract_y
_atom_site_fract_z
_atom_site_occupancy
K1 K 0.158 0.186 0.000 1
K2 K 0.342 0.686 0.000 1
K3 K 0.658 0.314 0.000 1
K4 K 0.842 0.814 0.000 1
Rb1 Rb 0.206 0.425 0.500 1
Rb2 Rb 0.294 0.925 0.500 1
Rb3 Rb 0.706 0.075 0.500 1
Rb4 Rb 0.794 0.575 0.500 1
As1 As 0.000 0.500 0.000 1
As2 As 0.500 0.000 0.000 1
```



Record 3
Starting from a cell relaxed with GGA-PBE, the powder XRD pattern of Pm2DyYEr6 was computed for Cu Kα, 1.54184 Å.
Lines closer than 0.1° are merged.

Principal peaks in the range 2θ = 5–70°, most intense first:
2θ = 30.89°, I 1000
2θ = 33.73°, I 963
2θ = 31.94°, I 922
2θ = 31.45°, I 718
2θ = 30.64°, I 652
2θ = 31.73°, I 520
2θ = 28.81°, I 476
2θ = 53.50°, I 274

Cell and atoms:
```
data_Pm2DyYEr6
_chemical_formula_sum 'Pm4 Dy2 Y2 Er12'
_cell_length_a 8.745
_cell_length_b 8.745
_cell_length_c 9.612
_cell_angle_alpha 94.45
_cell_angle_beta 94.45
_cell_angle_gamma 118.33
_space_group_name_H-M_alt 'P 1'
_space_group_IT_number 1
_space_group_name_Hall 'P 1'
loop_
_atom_site_label
_atom_site_type_symbol
_atom_site_fract_x
_atom_site_fract_y
_atom_site_fract_z
_atom_site_occupancy
Pm1 Pm 0.193 0.300 0.043 1
Pm2 Pm 0.300 0.193 0.543 1
Pm3 Pm 0.700 0.807 0.457 1
Pm4 Pm 0.807 0.700 0.957 1
Dy1 Dy 0.407 0.593 0.750 1
Dy2 Dy 0.593 0.407 0.250 1
Y1 Y 0.019 0.981 0.250 1
Y2 Y 0.981 0.019 0.750 1
Er1 Er 0.023 0.575 0.186 1
Er2 Er 0.127 0.745 0.557 1
Er3 Er 0.255 0.873 0.943 1
Er4 Er 0.291 0.501 0.381 1
Er5 Er 0.425 0.977 0.314 1
Er6 Er 0.499 0.709 0.119 1
Er7 Er 0.501 0.291 0.881 1
Er8 Er 0.575 0.023 0.686 1
Er9 Er 0.709 0.499 0.619 1
Er10 Er 0.745 0.127 0.057 1
Er11 Er 0.873 0.255 0.443 1
Er12 Er 0.977 0.425 0.814 1
```



Record 4
Starting from a cell relaxed with GGA-PBE, the powder XRD pattern of CuReIr was computed for Cu Kα, 1.54184 Å.
Lines closer than 0.1° are merged.

Principal peaks in the range 2θ = 5–70°, most intense first:
2θ = 40.56°, I 1000
2θ = 41.43°, I 939
2θ = 47.60°, I 631
2θ = 69.85°, I 399
2θ = 47.91°, I 310
2θ = 22.27°, I 201
2θ = 25.98°, I 196
2θ = 46.76°, I 120

Cell and atoms:
```
data_CuReIr
_chemical_formula_sum 'Cu1 Re1 Ir1'
_cell_length_a 4.628
_cell_length_b 4.628
_cell_length_c 4.628
_cell_angle_alpha 145.51
_cell_angle_beta 131.56
_cell_angle_gamma 60.81
_space_group_name_H-M_alt 'P 1'
_space_group_IT_number 1
_space_group_name_Hall 'P 1'
loop_
_atom_site_label
_atom_site_type_symbol
_atom_site_fract_x
_atom_site_fract_y
_atom_site_fract_z
_atom_site_occupancy
Cu1 Cu 0.000 0.000 0.000 1
Re1 Re 0.331 0.331 0.000 1
Ir1 Ir 0.671 0.671 0.000 1
```



Record 5
Starting from a cell relaxed with GGA-PBE, the powder XRD pattern of Tl3WCl was computed for Cu Kα, 1.54184 Å.
Lines closer than 0.1° are merged.

Principal peaks in the range 2θ = 5–70°, most intense first:
2θ = 32.60°, I 1000
2θ = 16.14°, I 947
2θ = 46.77°, I 740
2θ = 28.14°, I 603
2θ = 36.58°, I 528
2θ = 49.80°, I 283
2θ = 55.48°, I 276
2θ = 58.18°, I 259

Cell and atoms:
```
data_Tl3WCl
_chemical_formula_sum 'Tl3 W1 Cl1'
_cell_length_a 5.493
_cell_length_b 5.493
_cell_length_c 5.493
_cell_angle_alpha 90.00
_cell_angle_beta 90.00
_cell_angle_gamma 90.00
_space_group_name_H-M_alt 'P 1'
_space_group_IT_number 1
_space_group_name_Hall 'P 1'
loop_
_atom_site_label
_atom_site_type_symbol
_atom_site_fract_x
_atom_site_fract_y
_atom_site_fract_z
_atom_site_occupancy
Tl1 Tl 0.000 0.000 0.500 1
Tl2 Tl 0.000 0.500 0.000 1
Tl3 Tl 0.500 0.000 0.000 1
W1 W 0.000 0.000 0.000 1
Cl1 Cl 0.500 0.500 0.500 1
```



Record 6
Starting from a cell relaxed with GGA-PBE, the powder XRD pattern of Ac2CrSiPt6 was computed for Cu Kα, 1.54184 Å.
Lines closer than 0.1° are merged.

Principal peaks in the range 2θ = 5–70°, most intense first:
2θ = 32.31°, I 1000
2θ = 34.76°, I 883
2θ = 41.31°, I 736
2θ = 39.75°, I 324
2θ = 33.79°, I 258
2θ = 68.22°, I 253
2θ = 54.40°, I 246
2θ = 26.42°, I 191

Cell and atoms:
```
data_Ac2CrSiPt6
_chemical_formula_sum 'Ac2 Cr1 Si1 Pt6'
_cell_length_a 6.886
_cell_length_b 6.886
_cell_length_c 6.886
_cell_angle_alpha 129.20
_cell_angle_beta 123.70
_cell_angle_gamma 79.23
_space_group_name_H-M_alt 'P 1'
_space_group_IT_number 1
_space_group_name_Hall 'P 1'
loop_
_atom_site_label
_atom_site_type_symbol
_atom_site_fract_x
_atom_site_fract_y
_atom_site_fract_z
_atom_site_occupancy
Ac1 Ac 0.000 0.000 0.000 1
Ac2 Ac 0.463 0.463 0.000 1
Cr1 Cr 0.324 0.824 0.500 1
Si1 Si 0.845 0.345 0.500 1
Pt1 Pt 0.066 0.566 0.500 1
Pt2 Pt 0.509 0.489 0.540 1
Pt3 Pt 0.509 0.969 0.020 1
Pt4 Pt 0.550 0.050 0.500 1
Pt5 Pt 0.949 0.489 0.980 1
Pt6 Pt 0.949 0.969 0.460 1
```



Record 7
Starting from a cell relaxed with GGA-PBE, the powder XRD pattern of ThTcGe2Rh was computed for Cu Kα, 1.54184 Å.
Lines closer than 0.1° are merged.

Principal peaks in the range 2θ = 5–70°, most intense first:
2θ = 34.37°, I 1000
2θ = 33.83°, I 662
2θ = 41.89°, I 546
2θ = 54.89°, I 338
2θ = 22.42°, I 221
2θ = 49.95°, I 198
2θ = 63.21°, I 195
2θ = 60.74°, I 181

Cell and atoms:
```
data_ThTcGe2Rh
_chemical_formula_sum 'Th1 Tc1 Ge2 Rh1'
_cell_length_a 5.889
_cell_length_b 5.889
_cell_length_c 5.889
_cell_angle_alpha 137.04
_cell_angle_beta 137.04
_cell_angle_gamma 62.38
_space_group_name_H-M_alt 'P 1'
_space_group_IT_number 1
_space_group_name_Hall 'P 1'
loop_
_atom_site_label
_atom_site_type_symbol
_atom_site_fract_x
_atom_site_fract_y
_atom_site_fract_z
_atom_site_occupancy
Th1 Th 0.000 0.000 0.000 1
Tc1 Tc 0.750 0.250 0.500 1
Ge1 Ge 0.371 0.371 0.000 1
Ge2 Ge 0.629 0.629 0.000 1
Rh1 Rh 0.250 0.750 0.500 1
```



Record 8
Starting from a cell relaxed with GGA-PBE, the powder XRD pattern of La10Os2I15 was computed for Cu Kα, 1.54184 Å.
Lines closer than 0.1° are merged.

Principal peaks in the range 2θ = 5–70°, most intense first:
2θ = 27.52°, I 1000
2θ = 27.35°, I 974
2θ = 28.05°, I 905
2θ = 39.28°, I 646
2θ = 39.43°, I 368
2θ = 38.95°, I 344
2θ = 10.37°, I 342
2θ = 8.24°, I 337

Cell and atoms:
```
data_La10Os2I15
_chemical_formula_sum 'La10 Os2 I15'
_cell_length_a 10.144
_cell_length_b 11.203
_cell_length_c 11.974
_cell_angle_alpha 91.85
_cell_angle_beta 113.82
_cell_angle_gamma 110.34
_space_group_name_H-M_alt 'P 1'
_space_group_IT_number 1
_space_group_name_Hall 'P 1'
loop_
_atom_site_label
_atom_site_type_symbol
_atom_site_fract_x
_atom_site_fract_y
_atom_site_fract_z
_atom_site_occupancy
La1 La 0.025 0.207 0.097 1
La2 La 0.092 0.547 0.331 1
La3 La 0.163 0.252 0.824 1
La4 La 0.225 0.583 0.052 1
La5 La 0.302 0.906 0.274 1
La6 La 0.698 0.094 0.726 1
La7 La 0.775 0.417 0.948 1
La8 La 0.837 0.748 0.176 1
La9 La 0.908 0.453 0.669 1
La10 La 0.975 0.793 0.903 1
Os1 Os 0.034 0.674 0.120 1
Os2 Os 0.966 0.326 0.880 1
I1 I 0.092 0.038 0.335 1
I2 I 0.143 0.387 0.583 1
I3 I 0.211 0.737 0.814 1
I4 I 0.264 0.088 0.053 1
I5 I 0.341 0.443 0.300 1
I6 I 0.390 0.802 0.531 1
I7 I 0.433 0.157 0.773 1
I8 I 0.500 0.500 0.000 1
I9 I 0.567 0.843 0.227 1
I10 I 0.610 0.198 0.469 1
I11 I 0.659 0.557 0.700 1
I12 I 0.736 0.912 0.947 1
I13 I 0.789 0.263 0.186 1
I14 I 0.857 0.613 0.417 1
I15 I 0.908 0.962 0.665 1
```



Record 9
Starting from a cell relaxed with GGA-PBE, the powder XRD pattern of Nd3SbRh3 was computed for Cu Kα, 1.54184 Å.
Lines closer than 0.1° are merged.

Principal peaks in the range 2θ = 5–70°, most intense first:
2θ = 34.17°, I 1000
2θ = 38.09°, I 993
2θ = 32.37°, I 677
2θ = 40.39°, I 578
2θ = 29.29°, I 443
2θ = 39.67°, I 298
2θ = 31.24°, I 279
2θ = 65.23°, I 275

Cell and atoms:
```
data_Nd3SbRh3
_chemical_formula_sum 'Nd6 Sb2 Rh6'
_cell_length_a 5.735
_cell_length_b 5.735
_cell_length_c 13.630
_cell_angle_alpha 90.00
_cell_angle_beta 90.00
_cell_angle_gamma 134.17
_space_group_name_H-M_alt 'P 1'
_space_group_IT_number 1
_space_group_name_Hall 'P 1'
loop_
_atom_site_label
_atom_site_type_symbol
_atom_site_fract_x
_atom_site_fract_y
_atom_site_fract_z
_atom_site_occupancy
Nd1 Nd 0.011 0.989 0.750 1
Nd2 Nd 0.293 0.707 0.605 1
Nd3 Nd 0.293 0.707 0.895 1
Nd4 Nd 0.707 0.293 0.105 1
Nd5 Nd 0.707 0.293 0.395 1
Nd6 Nd 0.989 0.011 0.250 1
Sb1 Sb 0.000 0.000 0.000 1
Sb2 Sb 0.000 0.000 0.500 1
Rh1 Rh 0.261 0.739 0.250 1
Rh2 Rh 0.416 0.584 0.094 1
Rh3 Rh 0.416 0.584 0.406 1
Rh4 Rh 0.584 0.416 0.594 1
Rh5 Rh 0.584 0.416 0.906 1
Rh6 Rh 0.739 0.261 0.750 1
```



Record 10
Starting from a cell relaxed with GGA-PBE, the powder XRD pattern of Tl8Te4S was computed for Cu Kα, 1.54184 Å.
Lines closer than 0.1° are merged.

Principal peaks in the range 2θ = 5–70°, most intense first:
2θ = 28.72°, I 1000
2θ = 38.95°, I 461
2θ = 23.98°, I 392
2θ = 43.11°, I 294
2θ = 49.11°, I 228
2θ = 64.38°, I 200
2θ = 31.85°, I 155
2θ = 22.65°, I 131

Cell and atoms:
```
data_Tl8Te4S
_chemical_formula_sum 'Tl8 Te4 S1'
_cell_length_a 8.466
_cell_length_b 8.466
_cell_length_c 8.466
_cell_angle_alpha 66.23
_cell_angle_beta 66.23
_cell_angle_gamma 66.23
_space_group_name_H-M_alt 'P 1'
_space_group_IT_number 1
_space_group_name_Hall 'P 1'
loop_
_atom_site_label
_atom_site_type_symbol
_atom_site_fract_x
_atom_site_fract_y
_atom_site_fract_z
_atom_site_occupancy
Tl1 Tl 0.240 0.240 0.240 1
Tl2 Tl 0.251 0.735 0.735 1
Tl3 Tl 0.265 0.265 0.749 1
Tl4 Tl 0.265 0.749 0.265 1
Tl5 Tl 0.735 0.251 0.735 1
Tl6 Tl 0.735 0.735 0.251 1
Tl7 Tl 0.749 0.265 0.265 1
Tl8 Tl 0.760 0.760 0.760 1
Te1 Te 0.000 0.000 0.000 1
Te2 Te 0.000 0.500 0.500 1
Te3 Te 0.500 0.000 0.500 1
Te4 Te 0.500 0.500 0.000 1
S1 S 0.500 0.500 0.500 1
```



Record 11
Starting from a cell relaxed with GGA-PBE, the powder XRD pattern of TcAu2Br6 was computed for Cu Kα, 1.54184 Å.
Lines closer than 0.1° are merged.

Principal peaks in the range 2θ = 5–70°, most intense first:
2θ = 11.71°, I 1000
2θ = 25.31°, I 400
2θ = 12.58°, I 290
2θ = 8.59°, I 204
2θ = 18.71°, I 204
2θ = 19.82°, I 199
2θ = 41.33°, I 185
2θ = 36.62°, I 182

Cell and atoms:
```
data_TcAu2Br6
_chemical_formula_sum 'Tc2 Au4 Br12'
_cell_length_a 10.352
_cell_length_b 10.352
_cell_length_c 6.371
_cell_angle_alpha 94.08
_cell_angle_beta 94.08
_cell_angle_gamma 93.77
_space_group_name_H-M_alt 'P 1'
_space_group_IT_number 1
_space_group_name_Hall 'P 1'
loop_
_atom_site_label
_atom_site_type_symbol
_atom_site_fract_x
_atom_site_fract_y
_atom_site_fract_z
_atom_site_occupancy
Tc1 Tc 0.072 0.928 0.750 1
Tc2 Tc 0.928 0.072 0.250 1
Au1 Au 0.390 0.390 0.211 1
Au2 Au 0.390 0.390 0.711 1
Au3 Au 0.610 0.610 0.289 1
Au4 Au 0.610 0.610 0.789 1
Br1 Br 0.046 0.159 0.602 1
Br2 Br 0.073 0.711 0.870 1
Br3 Br 0.159 0.046 0.102 1
Br4 Br 0.257 0.506 0.458 1
Br5 Br 0.289 0.927 0.630 1
Br6 Br 0.494 0.743 0.042 1
Br7 Br 0.506 0.257 0.958 1
Br8 Br 0.711 0.073 0.370 1
Br9 Br 0.743 0.494 0.542 1
Br10 Br 0.841 0.954 0.898 1
Br11 Br 0.927 0.289 0.130 1
Br12 Br 0.954 0.841 0.398 1
```



Record 12
Starting from a cell relaxed with GGA-PBE, the powder XRD pattern of Sm4Tm4Mg was computed for Cu Kα, 1.54184 Å.
Lines closer than 0.1° are merged.

Principal peaks in the range 2θ = 5–70°, most intense first:
2θ = 32.97°, I 1000
2θ = 33.10°, I 625
2θ = 31.89°, I 470
2θ = 32.91°, I 342
2θ = 57.51°, I 264
2θ = 61.55°, I 217
2θ = 43.46°, I 188
2θ = 28.90°, I 175

Cell and atoms:
```
data_Sm4Tm4Mg
_chemical_formula_sum 'Sm8 Tm8 Mg2'
_cell_length_a 6.649
_cell_length_b 8.369
_cell_length_c 10.733
_cell_angle_alpha 89.72
_cell_angle_beta 74.66
_cell_angle_gamma 77.22
_space_group_name_H-M_alt 'P 1'
_space_group_IT_number 1
_space_group_name_Hall 'P 1'
loop_
_atom_site_label
_atom_site_type_symbol
_atom_site_fract_x
_atom_site_fract_y
_atom_site_fract_z
_atom_site_occupancy
Sm1 Sm 0.051 0.194 0.165 1
Sm2 Sm 0.269 0.468 0.617 1
Sm3 Sm 0.389 0.856 0.935 1
Sm4 Sm 0.403 0.859 0.603 1
Sm5 Sm 0.597 0.141 0.397 1
Sm6 Sm 0.611 0.144 0.065 1
Sm7 Sm 0.731 0.532 0.383 1
Sm8 Sm 0.949 0.806 0.835 1
Tm1 Tm 0.043 0.194 0.492 1
Tm2 Tm 0.060 0.193 0.821 1
Tm3 Tm 0.272 0.469 0.958 1
Tm4 Tm 0.285 0.482 0.283 1
Tm5 Tm 0.715 0.518 0.717 1
Tm6 Tm 0.728 0.531 0.042 1
Tm7 Tm 0.940 0.807 0.179 1
Tm8 Tm 0.957 0.806 0.508 1
Mg1 Mg 0.389 0.858 0.269 1
Mg2 Mg 0.611 0.142 0.731 1
```